RbLaCoF6: simulated PXRD pattern (Cu Kα (λ = 1.5418 Å)), based on a DFT-relaxed cell (GGA+U, Alexandria).

Structure:
```
data_RbLaCoF6
_chemical_formula_sum 'Rb2 La2 Co2 F12'
_symmetry_space_group_name_H-M 'P -3 1 c'
_symmetry_Int_Tables_number 163
_symmetry_space_group_name_Hall '-P 3 2c'
_cell_length_a 6.0164
_cell_length_b 6.0164
_cell_length_c 11.4516
_cell_angle_alpha 90.00
_cell_angle_beta 90.00
_cell_angle_gamma 120.00
loop_
_atom_site_label
_atom_site_type_symbol
_atom_site_fract_x
_atom_site_fract_y
_atom_site_fract_z
_atom_site_occupancy
Rb1 Rb 0.0000 0.0000 0.0000 1
La1 La 0.3333 0.6667 0.2500 1
Co1 Co 0.3333 0.6667 0.7500 1
F1 F 0.0323 0.3900 0.6508 1
```

Top 8 peaks for 10 to 90 degrees two-theta, low angle first:
(0 0 2), 15.48 deg, d = 5.726 Å, I = 27
(1 0 2), 23.08 deg, d = 3.854 Å, I = 100
(1 1 0), 29.70 deg, d = 3.008 Å, I = 38
(1 1 2), 33.65 deg, d = 2.663 Å, I = 17
(2 0 2), 37.94 deg, d = 2.371 Å, I = 22
(1 1 4), 43.65 deg, d = 2.074 Å, I = 54
(2 1 2), 48.91 deg, d = 1.862 Å, I = 25
(3 0 0), 52.70 deg, d = 1.737 Å, I = 18